Entry 1:
This entry pairs a crystal structure of BaSrCuBiO6 with its computed X-ray powder pattern. Radiation: Cu Kα. Structure: DFT lattice parameters and positions (GGA-PBE).
Neutral-atom scattering factors, no anomalous dispersion.

Atomic structure:
```
BaSrCuBiO6
1.0
0.000 4.155 4.155
4.155 0.000 4.155
4.155 4.155 0.000
Ba Sr Cu Bi O
1 1 1 1 6
direct
0.000 0.000 0.000
0.500 0.500 0.500
0.250 0.250 0.250
0.750 0.750 0.750
0.010 0.010 0.490
0.010 0.490 0.010
0.010 0.490 0.490
0.490 0.010 0.010
0.490 0.010 0.490
0.490 0.490 0.010
```

Most intense lines, 10° ≤ 2θ ≤ 90°, low angle first:
d (Å), two_theta, Rel. int.
4.798, 18.5, 19
2.938, 30.4, 100
2.505, 35.8, 13
2.077, 43.6, 30
1.906, 47.7, 7
1.696, 54.1, 41
1.469, 63.3, 19
1.314, 71.9, 18
1.199, 80.0, 6
1.110, 87.9, 22

Entry 2:
This entry pairs a crystal structure of BaYCuBiO5 with its computed X-ray powder pattern. Radiation: Cu Kα. Structure: DFT lattice parameters and positions (GGA-PBE).
Neutral-atom scattering factors, no anomalous dispersion.

Atomic structure:
```
BaYCuBiO5
1.0
3.940 0.000 0.000
0.000 3.940 0.000
0.000 0.000 9.216
Ba Y Cu Bi O
1 1 1 1 5
direct
0.000 0.000 0.000
0.000 0.000 0.394
0.500 0.500 0.209
0.500 0.500 0.661
0.000 0.500 0.230
0.000 0.500 0.538
0.500 0.000 0.230
0.500 0.000 0.538
0.500 0.500 0.922
```

Most intense lines, 10° ≤ 2θ ≤ 90°, low angle first:
d (Å), two_theta, Rel. int.
3.622, 24.6, 45
3.072, 29.1, 13
2.994, 29.8, 100
2.786, 32.1, 48
2.064, 43.9, 27
1.989, 45.6, 11
1.970, 46.1, 29
1.775, 51.5, 11
1.730, 52.9, 12
1.646, 55.9, 35

Entry 3:
This entry pairs a crystal structure of KBa2DyBi2O9 with its computed X-ray powder pattern. Radiation: Cu Kα. Structure: DFT lattice parameters and positions (GGA-PBE).
Neutral-atom scattering factors, no anomalous dispersion.

Atomic structure:
```
KBa2DyBi2O9
1.0
6.804 0.000 0.000
-3.402 5.892 0.000
0.000 0.000 15.873
K Ba Dy Bi O
2 4 2 4 18
direct
0.333 0.667 0.157
0.667 0.333 0.843
0.000 0.000 0.280
0.000 0.000 0.720
0.333 0.667 0.639
0.667 0.333 0.361
0.333 0.667 0.410
0.667 0.333 0.590
0.000 0.000 0.000
0.000 0.000 0.500
0.333 0.667 0.942
0.667 0.333 0.058
0.000 0.500 0.000
0.000 0.500 0.500
0.136 0.272 0.585
0.136 0.864 0.585
0.218 0.435 0.296
0.218 0.782 0.296
0.272 0.136 0.415
0.435 0.218 0.704
0.500 0.000 0.000
0.500 0.000 0.500
0.500 0.500 0.000
0.500 0.500 0.500
0.565 0.782 0.296
0.728 0.864 0.585
0.782 0.218 0.704
0.782 0.565 0.704
0.864 0.136 0.415
0.864 0.728 0.415
```

Most intense lines, 10° ≤ 2θ ≤ 90°, low angle first:
d (Å), two_theta, Rel. int.
7.937, 11.1, 28
3.402, 26.2, 100
3.291, 27.1, 64
3.127, 28.5, 13
2.366, 38.0, 41
1.964, 46.2, 20
1.942, 46.8, 34
1.702, 53.9, 26
1.511, 61.3, 17
1.286, 73.7, 14